Entry 1:
The following is a simulated powder XRD pattern of LaTb8Pr5. It was derived from a DFT-relaxed cell (PBE, Alexandria), using Cu Kα.
No peak broadening, texture or thermal motion is included.

Cell and atoms:
```
data_LaTb8Pr5
_chemical_formula_sum 'La2 Tb16 Pr10'
_cell_length_a 17.618
_cell_length_b 3.587
_cell_length_c 17.051
_cell_angle_alpha 90.00
_cell_angle_beta 118.18
_cell_angle_gamma 90.00
_symmetry_space_group_name_H-M 'C 1 m 1'
_symmetry_Int_Tables_number 8
loop_
_symmetry_equiv_pos_as_xyz
'x,y,z'
'x,-y,z'
'x+1/2,y+1/2,z'
'x+1/2,-y+1/2,z'
loop_
_atom_site_label
_atom_site_type_symbol
_atom_site_fract_x
_atom_site_fract_y
_atom_site_fract_z
La1 La 0.000 0.000 0.000
Tb1 Tb 0.078 0.500 0.224
Tb2 Tb 0.081 0.000 0.723
Tb3 Tb 0.147 0.500 0.938
Tb4 Tb 0.216 0.500 0.646
Tb5 Tb 0.284 0.000 0.354
Tb6 Tb 0.353 0.000 0.062
Tb7 Tb 0.419 0.500 0.277
Tb8 Tb 0.422 0.000 0.776
Pr1 Pr 0.000 0.500 0.500
Pr2 Pr 0.144 0.000 0.440
Pr3 Pr 0.213 0.000 0.144
Pr4 Pr 0.286 0.500 0.856
Pr5 Pr 0.355 0.500 0.560
```

Top 6 peaks for 10° ≤ 2θ ≤ 90°, in order of falling intensity:
2θ = 30.77°, I 100, hkl 6 0 -2
2θ = 30.95°, I 48, hkl 2 0 4
2θ = 32.10°, I 45, hkl 4 0 -6
2θ = 32.48°, I 44, hkl 3 1 1
2θ = 29.57°, I 38, hkl 1 1 -3
2θ = 47.27°, I 19, hkl 1 1 -7

Entry 2:
The following is a simulated powder XRD pattern of La3Tb2Pr3. It was derived from a DFT-relaxed cell (PBE, Alexandria), using Cu Kα.
No peak broadening, texture or thermal motion is included.

Cell and atoms:
```
data_La3Tb2Pr3
_chemical_formula_sum 'La6 Tb4 Pr6'
_cell_length_a 5.223
_cell_length_b 5.229
_cell_length_c 20.767
_cell_angle_alpha 90.00
_cell_angle_beta 90.00
_cell_angle_gamma 90.00
_symmetry_space_group_name_H-M 'I m m m'
_symmetry_Int_Tables_number 71
_symmetry_space_group_name_Hall '-I 2 2'
loop_
_atom_site_label
_atom_site_type_symbol
_atom_site_fract_x
_atom_site_fract_y
_atom_site_fract_z
La1 La 0.000 0.000 0.000
La2 La 0.000 0.500 0.127
Tb1 Tb 0.000 0.000 0.249
Pr1 Pr 0.000 0.000 0.500
Pr2 Pr 0.000 0.500 0.371
```

Top 6 peaks for 10° ≤ 2θ ≤ 90°, in order of falling intensity:
2θ = 29.67°, I 100, hkl 1 1 4
2θ = 34.32°, I 34, hkl 2 0 0
2θ = 58.62°, I 29, hkl 3 1 4
2θ = 49.49°, I 24, hkl 2 0 8
2θ = 34.55°, I 17, hkl 0 0 8
2θ = 58.93°, I 14, hkl 1 1 12

Entry 3:
The following is a simulated powder XRD pattern of La2Tb5Pr2. It was derived from a DFT-relaxed cell (PBE, Alexandria), using Cu Kα.
No peak broadening, texture or thermal motion is included.

Cell and atoms:
```
data_La2Tb5Pr2
_chemical_formula_sum 'La4 Tb10 Pr4'
_cell_length_a 17.882
_cell_length_b 3.520
_cell_length_c 9.969
_cell_angle_alpha 90.00
_cell_angle_beta 98.65
_cell_angle_gamma 90.00
_symmetry_space_group_name_H-M 'C 1 2/m 1'
_symmetry_Int_Tables_number 12
loop_
_symmetry_equiv_pos_as_xyz
'x,y,z'
'-x,-y,-z'
'-x,y,-z'
'x,-y,z'
'x+1/2,y+1/2,z'
'-x+1/2,-y+1/2,-z'
'-x+1/2,y+1/2,-z'
'x+1/2,-y+1/2,z'
loop_
_atom_site_label
_atom_site_type_symbol
_atom_site_fract_x
_atom_site_fract_y
_atom_site_fract_z
La1 La 0.165 0.000 0.221
Tb1 Tb 0.000 0.000 0.000
Tb2 Tb 0.171 0.500 0.541
Tb3 Tb 0.173 0.000 0.866
Pr1 Pr 0.005 0.500 0.688
```

Top 6 peaks for 10° ≤ 2θ ≤ 90°, in order of falling intensity:
2θ = 30.33°, I 100, hkl 6 0 0
2θ = 30.42°, I 87, hkl 2 0 3
2θ = 31.39°, I 76, hkl 4 0 -3
2θ = 33.57°, I 75, hkl 3 1 -2
2θ = 27.12°, I 60, hkl 1 1 -1
2θ = 36.04°, I 53, hkl 3 1 2

Entry 4:
The following is a simulated powder XRD pattern of La4TbPr5. It was derived from a DFT-relaxed cell (PBE, Alexandria), using Cu Kα.
No peak broadening, texture or thermal motion is included.

Cell and atoms:
```
data_La4TbPr5
_chemical_formula_sum 'La8 Tb2 Pr10'
_cell_length_a 26.505
_cell_length_b 3.721
_cell_length_c 7.394
_cell_angle_alpha 90.00
_cell_angle_beta 98.33
_cell_angle_gamma 90.00
_symmetry_space_group_name_H-M 'C 1 2/m 1'
_symmetry_Int_Tables_number 12
loop_
_symmetry_equiv_pos_as_xyz
'x,y,z'
'-x,-y,-z'
'-x,y,-z'
'x,-y,z'
'x+1/2,y+1/2,z'
'-x+1/2,-y+1/2,-z'
'-x+1/2,y+1/2,-z'
'x+1/2,-y+1/2,z'
loop_
_atom_site_label
_atom_site_type_symbol
_atom_site_fract_x
_atom_site_fract_y
_atom_site_fract_z
La1 La 0.098 0.000 0.296
La2 La 0.200 0.500 0.101
Tb1 Tb 0.000 0.500 0.000
Pr1 Pr 0.000 0.500 0.500
Pr2 Pr 0.099 0.000 0.803
Pr3 Pr 0.199 0.500 0.599
```

Top 6 peaks for 10° ≤ 2θ ≤ 90°, in order of falling intensity:
2θ = 29.45°, I 100, hkl 5 1 0
2θ = 34.19°, I 67, hkl 1 1 -2
2θ = 29.64°, I 33, hkl 4 0 2
2θ = 49.00°, I 24, hkl 0 2 0
2θ = 58.23°, I 24, hkl 4 2 2
2θ = 49.25°, I 24, hkl 2 0 -4

Entry 5:
The following is a simulated powder XRD pattern of La2TbPr5Th. It was derived from a DFT-relaxed cell (PBE, Alexandria), using Cu Kα.
No peak broadening, texture or thermal motion is included.

Cell and atoms:
```
data_La2TbPr5Th
_chemical_formula_sum 'La8 Tb4 Pr20 Th4'
_cell_length_a 5.548
_cell_length_b 22.305
_cell_length_c 10.606
_cell_angle_alpha 90.00
_cell_angle_beta 90.00
_cell_angle_gamma 90.00
_symmetry_space_group_name_H-M 'C m c 21'
_symmetry_Int_Tables_number 36
loop_
_symmetry_equiv_pos_as_xyz
'x,y,z'
'-x,-y,z+1/2'
'-x,y,z'
'x,-y,z+1/2'
'x+1/2,y+1/2,z'
'-x+1/2,-y+1/2,z+1/2'
'-x+1/2,y+1/2,z'
'x+1/2,-y+1/2,z+1/2'
loop_
_atom_site_label
_atom_site_type_symbol
_atom_site_fract_x
_atom_site_fract_y
_atom_site_fract_z
La1 La 0.000 0.113 0.000
La2 La 0.000 0.114 0.505
Tb1 Tb 0.000 0.397 0.252
Pr1 Pr 0.000 0.001 0.252
Pr2 Pr 0.000 0.276 0.062
Pr3 Pr 0.000 0.276 0.444
Pr4 Pr 0.000 0.371 0.752
Pr5 Pr 0.000 0.500 0.002
Th1 Th 0.000 0.210 0.753
```

Top 6 peaks for 10° ≤ 2θ ≤ 90°, in order of falling intensity:
2θ = 30.75°, I 100, hkl 1 5 2
2θ = 32.29°, I 45, hkl 2 0 0
2θ = 33.81°, I 18, hkl 0 0 4
2θ = 56.60°, I 18, hkl 3 5 2
2θ = 30.24°, I 18, hkl 1 1 3
2θ = 47.44°, I 15, hkl 2 0 4

Entry 6:
The following is a simulated powder XRD pattern of LaTb5PrTh2. It was derived from a DFT-relaxed cell (PBE, Alexandria), using Cu Kα.
No peak broadening, texture or thermal motion is included.

Cell and atoms:
```
data_LaTb5PrTh2
_chemical_formula_sum 'La4 Tb20 Pr4 Th8'
_cell_length_a 8.925
_cell_length_b 8.925
_cell_length_c 15.485
_cell_angle_alpha 90.00
_cell_angle_beta 90.00
_cell_angle_gamma 90.00
_symmetry_space_group_name_H-M 'I 4/m c m'
_symmetry_Int_Tables_number 140
_symmetry_space_group_name_Hall '-I 4 2c'
loop_
_atom_site_label
_atom_site_type_symbol
_atom_site_fract_x
_atom_site_fract_y
_atom_site_fract_z
La1 La 0.000 0.000 0.250
Tb1 Tb 0.000 0.000 0.000
Tb2 Tb 0.205 0.295 0.135
Pr1 Pr 0.000 0.500 0.250
Th1 Th 0.119 0.381 0.500
```

Top 6 peaks for 10° ≤ 2θ ≤ 90°, in order of falling intensity:
2θ = 28.27°, I 100, hkl 2 2 0
2θ = 30.57°, I 79, hkl 2 0 4
2θ = 36.75°, I 43, hkl 3 2 1
2θ = 42.15°, I 23, hkl 4 0 2
2θ = 55.73°, I 22, hkl 2 2 8
2θ = 46.96°, I 18, hkl 0 0 8

Entry 7:
The following is a simulated powder XRD pattern of LaTb4Pr2Tm. It was derived from a DFT-relaxed cell (PBE, Alexandria), using Cu Kα.
No peak broadening, texture or thermal motion is included.

Cell and atoms:
```
data_LaTb4Pr2Tm
_chemical_formula_sum 'La1 Tb4 Pr2 Tm1'
_cell_length_a 5.113
_cell_length_b 5.134
_cell_length_c 10.188
_cell_angle_alpha 90.00
_cell_angle_beta 90.00
_cell_angle_gamma 90.00
_symmetry_space_group_name_H-M 'P m m m'
_symmetry_Int_Tables_number 47
loop_
_symmetry_equiv_pos_as_xyz
'x,y,z'
'-x,-y,-z'
'-x,-y,z'
'x,y,-z'
'x,-y,-z'
'-x,y,z'
'-x,y,-z'
'x,-y,z'
loop_
_atom_site_label
_atom_site_type_symbol
_atom_site_fract_x
_atom_site_fract_y
_atom_site_fract_z
La1 La 0.000 0.000 0.000
Tb1 Tb 0.000 0.500 0.254
Tb2 Tb 0.500 0.000 0.254
Pr1 Pr 0.000 0.000 0.500
Pr2 Pr 0.500 0.500 0.000
Tm1 Tm 0.500 0.500 0.500
```

Top 6 peaks for 10° ≤ 2θ ≤ 90°, in order of falling intensity:
2θ = 30.27°, I 100, hkl 1 1 2
2θ = 34.95°, I 17, hkl 0 2 0
2θ = 35.10°, I 17, hkl 2 0 0
2θ = 35.24°, I 17, hkl 0 0 4
2θ = 59.81°, I 15, hkl 1 3 2
2θ = 60.01°, I 14, hkl 3 1 2

Entry 8:
The following is a simulated powder XRD pattern of La2TbPrTm2. It was derived from a DFT-relaxed cell (PBE, Alexandria), using Cu Kα.
No peak broadening, texture or thermal motion is included.

Cell and atoms:
```
data_La2TbPrTm2
_chemical_formula_sum 'La4 Tb2 Pr2 Tm4'
_cell_length_a 5.655
_cell_length_b 10.355
_cell_length_c 6.945
_cell_angle_alpha 90.00
_cell_angle_beta 90.00
_cell_angle_gamma 90.00
_symmetry_space_group_name_H-M 'P m c 21'
_symmetry_Int_Tables_number 26
loop_
_symmetry_equiv_pos_as_xyz
'x,y,z'
'-x,-y,z+1/2'
'-x,y,z'
'x,-y,z+1/2'
loop_
_atom_site_label
_atom_site_type_symbol
_atom_site_fract_x
_atom_site_fract_y
_atom_site_fract_z
La1 La 0.000 0.025 0.000
La2 La 0.500 0.201 0.266
Tb1 Tb 0.500 0.473 0.897
Pr1 Pr 0.000 0.309 0.639
Tm1 Tm 0.000 0.373 0.145
Tm2 Tm 0.500 0.133 0.758
```

Top 6 peaks for 10° ≤ 2θ ≤ 90°, in order of falling intensity:
2θ = 30.34°, I 100, hkl 1 3 0
2θ = 31.44°, I 72, hkl 1 1 2
2θ = 31.64°, I 65, hkl 2 0 0
2θ = 30.20°, I 63, hkl 1 0 2
2θ = 33.03°, I 41, hkl 1 3 1
2θ = 55.51°, I 30, hkl 3 3 0